Record 1
Simulated powder X-ray diffraction pattern of Sr2MgI2O2 for Cu Kα (weighted mean of Kα1 and Kα2), from a DFT-relaxed cell (PBE, Alexandria).
Intensities are scaled so that the largest is 100.

Cell and atoms:
```
data_Sr2MgI2O2
_chemical_formula_sum 'Sr2 Mg1 I2 O2'
_symmetry_space_group_name_H-M 'P 1'
_symmetry_Int_Tables_number 1
_cell_length_a 10.8482
_cell_length_b 10.8482
_cell_length_c 10.8482
_cell_angle_alpha 157.82
_cell_angle_beta 157.82
_cell_angle_gamma 31.56
loop_
_symmetry_equiv_pos_as_xyz
'x,y,z'
loop_
_atom_site_label
_atom_site_type_symbol
_atom_site_fract_x
_atom_site_fract_y
_atom_site_fract_z
Sr1 Sr 0.0775 0.0775 0.0000
Sr2 Sr 0.9225 0.9225 0.0000
Mg1 Mg 0.5000 0.5000 0.0000
I1 I 0.3419 0.3419 0.0000
I2 I 0.6581 0.6581 0.0000
O1 O 0.0000 0.5000 0.5000
O2 O 0.5000 0.0000 0.5000
```

Main lines, in order of falling intensity (10° ≤ 2θ ≤ 90°):
two_theta	I/Imax
30.29	100.0
24.88	69.7
37.05	64.7
58.33	33.8
43.37	32.6
34.93	28.8
16.99	21.7
50.65	19.6
53.80	19.3
71.49	17.5
61.91	12.5
63.01	11.7

---

Record 2
Simulated powder X-ray diffraction pattern of CeAlO3 for Cu Kα (weighted mean of Kα1 and Kα2), from a DFT-relaxed cell (PBE, Alexandria).
Intensities are scaled so that the largest is 100.

Cell and atoms:
```
data_CeAlO3
_chemical_formula_sum 'Ce2 Al2 O6'
_symmetry_space_group_name_H-M 'P 1'
_symmetry_Int_Tables_number 1
_cell_length_a 5.3786
_cell_length_b 5.3786
_cell_length_c 5.3786
_cell_angle_alpha 120.47
_cell_angle_beta 120.47
_cell_angle_gamma 89.19
loop_
_symmetry_equiv_pos_as_xyz
'x,y,z'
loop_
_atom_site_label
_atom_site_type_symbol
_atom_site_fract_x
_atom_site_fract_y
_atom_site_fract_z
Ce1 Ce 0.2500 0.7500 0.5000
Ce2 Ce 0.7500 0.2500 0.5000
Al1 Al 0.0000 0.0000 0.0000
Al2 Al 0.5000 0.5000 0.0000
O1 O 0.2115 0.7115 0.9230
O2 O 0.2500 0.2500 0.0000
O3 O 0.2885 0.2115 0.5000
O4 O 0.7115 0.7885 0.5000
O5 O 0.7500 0.7500 0.0000
O6 O 0.7885 0.2885 0.0770
```

Main lines, in order of falling intensity (10° ≤ 2θ ≤ 90°):
two_theta	I/Imax
33.32	100.0
41.21	62.5
33.56	53.0
23.56	50.6
59.85	41.7
48.20	33.8
23.22	25.0
59.39	21.0
69.97	20.6
47.48	18.9
54.16	12.6
53.66	11.9

---

Record 3
Simulated powder X-ray diffraction pattern of Ti8Ga4H for Cu Kα (weighted mean of Kα1 and Kα2), from a DFT-relaxed cell (PBE, Alexandria).
Intensities are scaled so that the largest is 100.

Cell and atoms:
```
data_Ti8Ga4H
_chemical_formula_sum 'Ti8 Ga4 H1'
_symmetry_space_group_name_H-M 'P 1'
_symmetry_Int_Tables_number 1
_cell_length_a 3.7165
_cell_length_b 4.0643
_cell_length_c 13.0191
_cell_angle_alpha 90.00
_cell_angle_beta 90.00
_cell_angle_gamma 90.00
loop_
_symmetry_equiv_pos_as_xyz
'x,y,z'
loop_
_atom_site_label
_atom_site_type_symbol
_atom_site_fract_x
_atom_site_fract_y
_atom_site_fract_z
Ti1 Ti 0.0000 0.0000 0.0000
Ti2 Ti 0.0000 0.0000 0.3212
Ti3 Ti 0.0000 0.5000 0.1643
Ti4 Ti 0.0000 0.5000 0.4947
Ti5 Ti 0.5000 0.0000 0.5009
Ti6 Ti 0.5000 0.0000 0.8280
Ti7 Ti 0.5000 0.5000 0.6681
Ti8 Ti 0.5000 0.5000 0.9945
Ga1 Ga 0.0000 0.0000 0.6604
Ga2 Ga 0.0000 0.5000 0.8388
Ga3 Ga 0.5000 0.0000 0.1547
Ga4 Ga 0.5000 0.5000 0.3375
H1 H 0.0000 0.0000 0.4641
```

Main lines, in order of falling intensity (10° ≤ 2θ ≤ 90°):
two_theta	I/Imax
38.84	100.0
41.62	19.7
44.59	16.8
49.02	12.5
74.10	11.9
78.28	11.2
62.63	10.8
83.37	9.1
84.81	9.0
66.21	9.0
68.41	8.5
25.84	4.1

---

Record 4
Simulated powder X-ray diffraction pattern of Zr4FeN2 for Cu Kα (weighted mean of Kα1 and Kα2), from a DFT-relaxed cell (PBE, Alexandria).
Intensities are scaled so that the largest is 100.

Cell and atoms:
```
data_Zr4FeN2
_chemical_formula_sum 'Zr8 Fe2 N4'
_symmetry_space_group_name_H-M 'P 1'
_symmetry_Int_Tables_number 1
_cell_length_a 5.7713
_cell_length_b 5.7713
_cell_length_c 11.7157
_cell_angle_alpha 90.00
_cell_angle_beta 90.00
_cell_angle_gamma 146.91
loop_
_symmetry_equiv_pos_as_xyz
'x,y,z'
loop_
_atom_site_label
_atom_site_type_symbol
_atom_site_fract_x
_atom_site_fract_y
_atom_site_fract_z
Zr1 Zr 0.0000 0.0000 0.0000
Zr2 Zr 0.0000 0.0000 0.5000
Zr3 Zr 0.2700 0.7300 0.6114
Zr4 Zr 0.2700 0.7300 0.8886
Zr5 Zr 0.4355 0.5645 0.2500
Zr6 Zr 0.5645 0.4355 0.7500
Zr7 Zr 0.7300 0.2700 0.1114
Zr8 Zr 0.7300 0.2700 0.3886
Fe1 Fe 0.1106 0.8894 0.2500
Fe2 Fe 0.8894 0.1106 0.7500
N1 N 0.3668 0.6332 0.0593
N2 N 0.3668 0.6332 0.4407
N3 N 0.6332 0.3668 0.5593
N4 N 0.6332 0.3668 0.9407
```

Main lines, in order of falling intensity (10° ≤ 2θ ≤ 90°):
two_theta	I/Imax
34.65	100.0
37.45	92.5
36.64	81.4
39.83	39.0
55.32	30.5
32.26	28.4
67.51	26.9
67.77	22.7
55.95	21.8
35.90	20.8
48.41	16.7
33.28	16.0

---

Record 5
Simulated powder X-ray diffraction pattern of Ba2Cd4Ga3Hg for Cu Kα (weighted mean of Kα1 and Kα2), from a DFT-relaxed cell (PBE, Alexandria).
Intensities are scaled so that the largest is 100.

Cell and atoms:
```
data_Ba2Cd4Ga3Hg
_chemical_formula_sum 'Ba2 Cd4 Ga3 Hg1'
_symmetry_space_group_name_H-M 'P 1'
_symmetry_Int_Tables_number 1
_cell_length_a 4.7752
_cell_length_b 4.7752
_cell_length_c 11.8468
_cell_angle_alpha 90.00
_cell_angle_beta 90.00
_cell_angle_gamma 90.00
loop_
_symmetry_equiv_pos_as_xyz
'x,y,z'
loop_
_atom_site_label
_atom_site_type_symbol
_atom_site_fract_x
_atom_site_fract_y
_atom_site_fract_z
Ba1 Ba 0.0000 0.5000 0.2470
Ba2 Ba 0.5000 0.0000 0.7530
Cd1 Cd 0.0000 0.0000 0.0000
Cd2 Cd 0.0000 0.5000 0.6380
Cd3 Cd 0.5000 0.0000 0.3620
Cd4 Cd 0.5000 0.5000 0.0000
Ga1 Ga 0.0000 0.5000 0.8702
Ga2 Ga 0.5000 0.0000 0.1298
Ga3 Ga 0.5000 0.5000 0.5000
Hg1 Hg 0.0000 0.0000 0.5000
```

Main lines, in order of falling intensity (10° ≤ 2θ ≤ 90°):
two_theta	I/Imax
30.47	100.0
37.67	55.8
29.35	40.4
40.51	25.6
63.59	23.8
42.60	22.1
48.46	19.8
54.34	18.9
58.15	17.3
75.55	12.8
53.78	12.0
69.93	9.6

---

Record 6
Simulated powder X-ray diffraction pattern of CuHgF5 for Cu Kα (weighted mean of Kα1 and Kα2), from a DFT-relaxed cell (PBE, Alexandria).
Intensities are scaled so that the largest is 100.

Cell and atoms:
```
data_CuHgF5
_chemical_formula_sum 'Cu1 Hg1 F5'
_symmetry_space_group_name_H-M 'P 1'
_symmetry_Int_Tables_number 1
_cell_length_a 5.5977
_cell_length_b 5.5977
_cell_length_c 5.5977
_cell_angle_alpha 139.67
_cell_angle_beta 106.81
_cell_angle_gamma 87.04
loop_
_symmetry_equiv_pos_as_xyz
'x,y,z'
loop_
_atom_site_label
_atom_site_type_symbol
_atom_site_fract_x
_atom_site_fract_y
_atom_site_fract_z
Cu1 Cu 0.0000 0.0000 0.0000
Hg1 Hg 0.5000 0.5000 0.0000
F1 F 0.0000 0.5000 0.5000
F2 F 0.2336 0.2336 0.0000
F3 F 0.2914 0.0000 0.2914
F4 F 0.7086 0.0000 0.7086
F5 F 0.7664 0.7664 0.0000
```

Main lines, in order of falling intensity (10° ≤ 2θ ≤ 90°):
two_theta	I/Imax
26.69	100.0
21.90	56.2
34.79	52.9
52.78	29.7
17.20	29.2
47.13	28.9
52.54	25.7
37.31	22.5
66.94	18.7
55.00	15.8
59.90	15.0
44.65	13.4

---

Record 7
Simulated powder X-ray diffraction pattern of IrAuBr4 for Cu Kα (weighted mean of Kα1 and Kα2), from a DFT-relaxed cell (PBE, Alexandria).
Intensities are scaled so that the largest is 100.

Cell and atoms:
```
data_IrAuBr4
_chemical_formula_sum 'Ir2 Au2 Br8'
_symmetry_space_group_name_H-M 'P 1'
_symmetry_Int_Tables_number 1
_cell_length_a 9.7516
_cell_length_b 9.7516
_cell_length_c 6.5074
_cell_angle_alpha 90.37
_cell_angle_beta 90.37
_cell_angle_gamma 137.00
loop_
_symmetry_equiv_pos_as_xyz
'x,y,z'
loop_
_atom_site_label
_atom_site_type_symbol
_atom_site_fract_x
_atom_site_fract_y
_atom_site_fract_z
Ir1 Ir 0.0506 0.9494 0.7500
Ir2 Ir 0.9494 0.0506 0.2500
Au1 Au 0.3526 0.6474 0.2500
Au2 Au 0.6474 0.3526 0.7500
Br1 Br 0.0470 0.3478 0.4146
Br2 Br 0.1470 0.2396 0.9316
Br3 Br 0.2396 0.1470 0.4316
Br4 Br 0.3478 0.0470 0.9146
Br5 Br 0.6522 0.9530 0.0854
Br6 Br 0.7604 0.8530 0.5684
Br7 Br 0.8530 0.7604 0.0684
Br8 Br 0.9530 0.6522 0.5854
```

Main lines, in order of falling intensity (10° ≤ 2θ ≤ 90°):
two_theta	I/Imax
16.77	100.0
30.96	72.1
19.23	62.4
13.31	32.3
37.04	29.6
47.55	26.2
33.89	20.1
30.39	20.0
29.98	18.6
47.99	14.7
50.47	14.1
34.99	12.9

---

Record 8
Simulated powder X-ray diffraction pattern of Ag2Pd3Pt4 for Cu Kα (weighted mean of Kα1 and Kα2), from a DFT-relaxed cell (PBE, Alexandria).
Intensities are scaled so that the largest is 100.

Cell and atoms:
```
data_Ag2Pd3Pt4
_chemical_formula_sum 'Ag2 Pd3 Pt4'
_symmetry_space_group_name_H-M 'P 1'
_symmetry_Int_Tables_number 1
_cell_length_a 2.7745
_cell_length_b 2.7745
_cell_length_c 21.7796
_cell_angle_alpha 90.00
_cell_angle_beta 90.00
_cell_angle_gamma 120.00
loop_
_symmetry_equiv_pos_as_xyz
'x,y,z'
loop_
_atom_site_label
_atom_site_type_symbol
_atom_site_fract_x
_atom_site_fract_y
_atom_site_fract_z
Ag1 Ag 0.0000 0.0000 0.0000
Ag2 Ag 0.0000 0.0000 0.2208
Pd1 Pd 0.0000 0.0000 0.7792
Pd2 Pd 0.3333 0.6667 0.1104
Pd3 Pd 0.3333 0.6667 0.4549
Pt1 Pt 0.0000 0.0000 0.3464
Pt2 Pt 0.0000 0.0000 0.5625
Pt3 Pt 0.3333 0.6667 0.6716
Pt4 Pt 0.3333 0.6667 0.8879
```

Main lines, in order of falling intensity (10° ≤ 2θ ≤ 90°):
two_theta	I/Imax
42.99	100.0
41.06	65.8
37.15	52.7
37.43	43.2
79.67	34.4
67.52	29.7
72.36	29.3
53.76	28.0
37.66	16.5
83.46	14.8
82.16	8.9
16.28	7.7

---

Record 9
Simulated powder X-ray diffraction pattern of Tl2CrInBr6 for Cu Kα (weighted mean of Kα1 and Kα2), from a DFT-relaxed cell (PBE, Alexandria).
Intensities are scaled so that the largest is 100.

Cell and atoms:
```
data_Tl2CrInBr6
_chemical_formula_sum 'Tl4 Cr2 In2 Br12'
_symmetry_space_group_name_H-M 'P 1'
_symmetry_Int_Tables_number 1
_cell_length_a 7.4696
_cell_length_b 8.1195
_cell_length_c 13.2053
_cell_angle_alpha 90.00
_cell_angle_beta 123.72
_cell_angle_gamma 90.00
loop_
_symmetry_equiv_pos_as_xyz
'x,y,z'
loop_
_atom_site_label
_atom_site_type_symbol
_atom_site_fract_x
_atom_site_fract_y
_atom_site_fract_z
Tl1 Tl 0.2207 0.0818 0.2509
Tl2 Tl 0.2207 0.4182 0.7509
Tl3 Tl 0.7793 0.5818 0.2491
Tl4 Tl 0.7793 0.9182 0.7491
Cr1 Cr 0.5000 0.0000 0.0000
Cr2 Cr 0.5000 0.5000 0.5000
In1 In 0.0000 0.0000 0.5000
In2 In 0.0000 0.5000 0.0000
Br1 Br 0.1754 0.1650 0.9570
Br2 Br 0.1754 0.3350 0.4570
Br3 Br 0.2870 0.7321 0.9503
Br4 Br 0.2870 0.7679 0.4503
Br5 Br 0.3764 0.0253 0.7783
Br6 Br 0.3764 0.4747 0.2783
Br7 Br 0.6236 0.5253 0.7217
Br8 Br 0.6236 0.9747 0.2217
Br9 Br 0.7130 0.2321 0.5497
Br10 Br 0.7130 0.2679 0.0497
Br11 Br 0.8246 0.6650 0.5430
Br12 Br 0.8246 0.8350 0.0430
```

Main lines, in order of falling intensity (10° ≤ 2θ ≤ 90°):
two_theta	I/Imax
32.59	100.0
36.22	55.6
22.78	49.9
23.00	48.7
27.61	40.4
41.15	37.8
27.31	36.8
29.13	35.8
32.94	27.5
35.26	25.1
23.83	22.6
41.52	20.9

---

Record 10
Simulated powder X-ray diffraction pattern of CsCdFe2Br8 for Cu Kα (weighted mean of Kα1 and Kα2), from a DFT-relaxed cell (PBE, Alexandria).
Intensities are scaled so that the largest is 100.

Cell and atoms:
```
data_CsCdFe2Br8
_chemical_formula_sum 'Cs1 Cd1 Fe2 Br8'
_symmetry_space_group_name_H-M 'P 1'
_symmetry_Int_Tables_number 1
_cell_length_a 6.8086
_cell_length_b 6.8086
_cell_length_c 10.4774
_cell_angle_alpha 97.73
_cell_angle_beta 97.73
_cell_angle_gamma 69.01
loop_
_symmetry_equiv_pos_as_xyz
'x,y,z'
loop_
_atom_site_label
_atom_site_type_symbol
_atom_site_fract_x
_atom_site_fract_y
_atom_site_fract_z
Cs1 Cs 0.0000 0.0000 0.0000
Cd1 Cd 0.0000 0.0000 0.5000
Fe1 Fe 0.3915 0.3915 0.7051
Fe2 Fe 0.6085 0.6085 0.2949
Br1 Br 0.2284 0.7236 0.2985
Br2 Br 0.2495 0.2495 0.5085
Br3 Br 0.2764 0.7716 0.7015
Br4 Br 0.3194 0.3194 0.9040
Br5 Br 0.6806 0.6806 0.0960
Br6 Br 0.7236 0.2284 0.2985
Br7 Br 0.7505 0.7505 0.4915
Br8 Br 0.7716 0.2764 0.7015
```

Main lines, in order of falling intensity (10° ≤ 2θ ≤ 90°):
two_theta	I/Imax
28.88	100.0
28.19	69.7
46.11	65.6
23.21	63.8
26.78	61.5
28.72	52.2
16.01	50.4
45.13	38.5
15.72	35.7
47.13	32.2
23.06	29.0
32.35	26.9

---

Record 11
Simulated powder X-ray diffraction pattern of NdMgCd14 for Cu Kα (weighted mean of Kα1 and Kα2), from a DFT-relaxed cell (PBE, Alexandria).
Intensities are scaled so that the largest is 100.

Cell and atoms:
```
data_NdMgCd14
_chemical_formula_sum 'Nd1 Mg1 Cd14'
_symmetry_space_group_name_H-M 'P 1'
_symmetry_Int_Tables_number 1
_cell_length_a 6.5880
_cell_length_b 6.5880
_cell_length_c 8.5803
_cell_angle_alpha 90.00
_cell_angle_beta 90.00
_cell_angle_gamma 90.00
loop_
_symmetry_equiv_pos_as_xyz
'x,y,z'
loop_
_atom_site_label
_atom_site_type_symbol
_atom_site_fract_x
_atom_site_fract_y
_atom_site_fract_z
Nd1 Nd 0.0000 0.0000 0.0000
Mg1 Mg 0.5000 0.5000 0.0000
Cd1 Cd 0.0000 0.0000 0.5000
Cd2 Cd 0.0000 0.5000 0.0000
Cd3 Cd 0.0000 0.5000 0.5000
Cd4 Cd 0.2564 0.2564 0.2565
Cd5 Cd 0.2564 0.2564 0.7435
Cd6 Cd 0.2564 0.7436 0.2565
Cd7 Cd 0.2564 0.7436 0.7435
Cd8 Cd 0.5000 0.0000 0.0000
Cd9 Cd 0.5000 0.0000 0.5000
Cd10 Cd 0.5000 0.5000 0.5000
Cd11 Cd 0.7436 0.2564 0.2565
Cd12 Cd 0.7436 0.2564 0.7435
Cd13 Cd 0.7436 0.7436 0.2565
Cd14 Cd 0.7436 0.7436 0.7435
```

Main lines, in order of falling intensity (10° ≤ 2θ ≤ 90°):
two_theta	I/Imax
34.32	100.0
38.66	35.9
67.19	26.2
58.49	20.1
42.13	13.9
55.82	11.7
71.99	10.4
72.33	10.4
82.90	3.6
16.97	2.6
24.77	1.8
10.31	1.2

---

Record 12
Simulated powder X-ray diffraction pattern of AlIrBr for Cu Kα (weighted mean of Kα1 and Kα2), from a DFT-relaxed cell (PBE, Alexandria).
Intensities are scaled so that the largest is 100.

Cell and atoms:
```
data_AlIrBr
_chemical_formula_sum 'Al1 Ir1 Br1'
_symmetry_space_group_name_H-M 'P 1'
_symmetry_Int_Tables_number 1
_cell_length_a 6.9078
_cell_length_b 6.6360
_cell_length_c 3.1023
_cell_angle_alpha 81.70
_cell_angle_beta 71.91
_cell_angle_gamma 26.39
loop_
_symmetry_equiv_pos_as_xyz
'x,y,z'
loop_
_atom_site_label
_atom_site_type_symbol
_atom_site_fract_x
_atom_site_fract_y
_atom_site_fract_z
Al1 Al 0.0000 0.0000 0.0000
Ir1 Ir 0.6263 0.6263 0.3737
Br1 Br 0.3483 0.3483 0.6517
```

Main lines, in order of falling intensity (10° ≤ 2θ ≤ 90°):
two_theta	I/Imax
37.80	100.0
31.99	62.0
13.82	47.6
27.84	42.1
34.78	39.6
45.13	23.0
59.95	22.6
64.35	21.1
47.59	19.4
65.08	12.8
53.13	11.8
72.21	11.5